Diffraction record for KTi4O7. The powder diffractogram is calculated, not measured: it uses DFT lattice parameters and positions (GGA-PBE) and copper Kα.
Neutral-atom scattering factors, no anomalous dispersion.

Principal peaks in the range 2θ = 10–90°, by intensity:
| hkl | 2θ/deg | Rel. int. |
| --- | --- | --- |
| 2 1 1 | 26.2 | 100 |
| 2 0 0 | 12.8 | 66 |
| 2 1 0 | 20.7 | 49 |
| 0 0 2 | 32.3 | 42 |
| 3 0 1 | 25.1 | 41 |
| 3 1 0 | 25.3 | 41 |
| 1 1 0 | 17.4 | 40 |
| 0 2 1 | 36.6 | 28 |
| 1 0 1 | 17.2 | 26 |
| 4 1 0 | 30.6 | 24 |

Cell and atoms:
Lattice parameters (Å, degrees): 13.8109 5.4843 5.5467 90.00 90.00 90.00
Space group Pmn2_1 (No. 31)
Unique sites:
K: 0.0000 0.1408 0.0000
Ti: 0.1264 0.8096 0.5482
Ti: 0.2461 0.6521 0.1172
O: 0.0000 0.7369 0.6320
O: 0.1312 0.8131 0.2149
O: 0.1526 0.1322 0.6374
O: 0.2040 0.6352 0.7820